Structure and computed powder XRD pattern of Tb2Pa2Se2S5 (a crystal structure in Alexandria, relaxed with PBE; Cu Kα).

Top 10 peaks for 2θ from 10° to 90°, in order of falling intensity:
23.71°, I = 100.0, hkl 1 1 0
38.17°, I = 86.6, hkl 1 0 9
14.96°, I = 75.3, hkl 0 0 4
33.77°, I = 72.3, hkl 2 0 0
51.87°, I = 63.8, hkl 2 1 9
25.20°, I = 36.6, hkl 1 0 5
17.12°, I = 36.4, hkl 1 0 1
37.12°, I = 32.3, hkl 2 0 4
48.51°, I = 25.9, hkl 2 2 0
73.74°, I = 24.1, hkl 3 2 9

Atomic structure:
a = 5.3080 Å, b = 5.3080 Å, c = 23.6814 Å
α = 90.00°, β = 90.00°, γ = 90.00°
Space group I4/mmm (No. 139)
Inequivalent atoms, fractional coordinates:
Tb  0.0000  0.0000  0.1606 x4
Pa  0.0000  0.0000  0.3901 x4
Se  0.0000  0.0000  0.2758 x4
S  0.0000  0.0000  0.5000 x2
S  0.0000  0.5000  0.1177 x8